Starting from a crystal structure in Alexandria, relaxed with PBE, the powder XRD pattern of TbSc3Se4 was calculated for a wavelength of 1.5418 Å.
Peak positions follow from Bragg's law for the DFT cell and can differ from measured ones.

Largest 10 diffraction maxima, low angle first, 5 to 70 degrees two-theta:
2θ/deg	d/Å	intensity
6.86	12.881	24
13.75	6.440	6
26.63	3.347	6
28.70	3.111	7
32.21	2.779	100
46.11	1.969	34
46.27	1.962	36
57.22	1.610	5
57.49	1.603	18
67.38	1.390	11

```
TbSc3Se4
1.0
1.9621 1.1328 12.8807
-1.9621 1.1328 12.8807
0.0000 -2.2657 12.8807
Tb Sc Se
1 3 4
Direct
0.0000 0.0000 0.0000
0.2476 0.2476 0.2476
0.5000 0.5000 0.5000
0.7524 0.7524 0.7524
0.1264 0.1264 0.1264
0.3794 0.3794 0.3794
0.6206 0.6206 0.6206
0.8736 0.8736 0.8736
```


Starting from a crystal structure in Alexandria, relaxed with PBE, the powder XRD pattern of TbZrSc2Se4 was calculated for a wavelength of 1.5418 Å.
Peak positions follow from Bragg's law for the DFT cell and can differ from measured ones.

Largest 10 diffraction maxima, low angle first, 5 to 70 degrees two-theta:
2θ/deg	d/Å	intensity
13.68	6.475	10
26.69	3.340	12
32.21	2.779	100
45.93	1.976	24
46.06	1.970	12
46.40	1.957	35
56.88	1.619	6
57.56	1.601	12
57.71	1.598	6
67.43	1.389	7

```
TbZrSc2Se4
1.0
6.7749 0.0000 0.0000
0.0000 3.9158 0.0000
-2.2804 0.0000 6.4754
Tb Zr Sc Se
1 1 2 4
Direct
0.0000 0.0000 0.0000
0.5000 0.5000 0.0000
0.0000 0.5000 0.5000
0.5000 0.0000 0.5000
0.2516 0.0000 0.7394
0.2604 0.5000 0.2644
0.7396 0.5000 0.7356
0.7484 0.0000 0.2606
```


Starting from a crystal structure in Alexandria, relaxed with PBE, the powder XRD pattern of Sc3TeSe3 was calculated for a wavelength of 1.5418 Å.
Peak positions follow from Bragg's law for the DFT cell and can differ from measured ones.

Largest 10 diffraction maxima, low angle first, 5 to 70 degrees two-theta:
2θ/deg	d/Å	intensity
22.01	4.039	16
25.76	3.459	18
26.34	3.383	86
35.25	2.546	100
36.13	2.486	47
39.84	2.263	44
40.39	2.233	25
47.52	1.913	17
50.86	1.795	17
58.02	1.590	23

```
Sc3TeSe3
1.0
3.9194 2.2628 6.7000
-3.9194 2.2628 6.7000
0.0000 -4.5257 6.7000
Sc Te Se
6 2 6
Direct
0.1064 0.4840 0.7018
0.2982 0.8936 0.5160
0.4840 0.7018 0.1064
0.5160 0.2982 0.8936
0.7018 0.1064 0.4840
0.8936 0.5160 0.2982
0.3282 0.3282 0.3282
0.6718 0.6718 0.6718
0.1115 0.8380 0.3670
0.1620 0.6330 0.8885
0.3670 0.1115 0.8380
0.6330 0.8885 0.1620
0.8380 0.3670 0.1115
0.8885 0.1620 0.6330
```


Starting from a crystal structure in Alexandria, relaxed with PBE, the powder XRD pattern of Sc2TeSe was calculated for a wavelength of 1.5418 Å.
Peak positions follow from Bragg's law for the DFT cell and can differ from measured ones.

Largest 10 diffraction maxima, low angle first, 5 to 70 degrees two-theta:
2θ/deg	d/Å	intensity
24.73	3.600	43
27.06	3.296	25
31.39	2.850	63
36.58	2.456	100
41.92	2.155	43
48.57	1.874	14
48.72	1.869	14
54.55	1.682	17
59.06	1.564	20
66.11	1.413	21

```
Sc2TeSe
1.0
3.7379 0.0000 0.0000
0.0000 3.7489 0.0000
0.0000 0.0000 13.1824
Sc Te Se
4 2 2
Direct
0.0000 0.0000 0.0000
0.0000 0.5000 0.2303
0.5000 0.0000 0.7303
0.5000 0.5000 0.5000
0.0000 0.0000 0.4029
0.5000 0.5000 0.9029
0.0000 0.5000 0.6553
0.5000 0.0000 0.1553
```


Starting from a crystal structure in Alexandria, relaxed with PBE, the powder XRD pattern of ThScTe2Se was calculated for a wavelength of 1.5418 Å.
Peak positions follow from Bragg's law for the DFT cell and can differ from measured ones.

Largest 10 diffraction maxima, low angle first, 5 to 70 degrees two-theta:
2θ/deg	d/Å	intensity
6.07	14.549	100
27.34	3.262	83
28.64	3.117	86
31.22	2.865	22
34.20	2.622	40
37.02	2.428	47
38.02	2.367	57
40.95	2.204	61
49.94	1.826	33
56.38	1.632	28

```
ThScTe2Se
1.0
4.4080 0.0000 0.0000
0.0000 4.4080 0.0000
0.0000 0.0000 14.5492
Th Sc Te Se
2 2 4 2
Direct
0.2500 0.2500 0.1327
0.7500 0.7500 0.8673
0.2500 0.2500 0.5838
0.7500 0.7500 0.4162
0.2500 0.2500 0.3852
0.2500 0.2500 0.7863
0.7500 0.7500 0.2137
0.7500 0.7500 0.6148
0.2500 0.7500 0.0000
0.7500 0.2500 0.0000
```


Starting from a crystal structure in Alexandria, relaxed with PBE, the powder XRD pattern of Th5Sc3Se8 was calculated for a wavelength of 1.5418 Å.
Peak positions follow from Bragg's law for the DFT cell and can differ from measured ones.

Largest 10 diffraction maxima, low angle first, 5 to 70 degrees two-theta:
2θ/deg	d/Å	intensity
12.58	7.038	13
26.16	3.406	14
27.18	3.281	15
30.96	2.889	100
33.53	2.672	11
43.15	2.097	39
45.52	1.993	35
51.97	1.759	7
56.06	1.640	19
64.52	1.444	12

```
Th5Sc3Se8
1.0
3.9856 2.3011 7.0379
-3.9856 2.3011 7.0379
0.0000 -4.6022 7.0379
Th Sc Se
5 3 8
Direct
0.0000 0.0000 0.0000
0.0000 0.5000 0.5000
0.5000 0.0000 0.5000
0.5000 0.5000 0.0000
0.5000 0.5000 0.5000
0.0000 0.0000 0.5000
0.0000 0.5000 0.0000
0.5000 0.0000 0.0000
0.2281 0.7498 0.7498
0.2399 0.2399 0.2399
0.2502 0.2502 0.7719
0.2502 0.7719 0.2502
0.7498 0.2281 0.7498
0.7498 0.7498 0.2281
0.7601 0.7601 0.7601
0.7719 0.2502 0.2502
```